[1]
Starting from a GGA-PBE-relaxed structure, the powder diffractogram of Pm4Mg2Tl was calculated for a wavelength of 1.5418 Å.
Peak positions follow from Bragg's law for the DFT cell and can differ from measured ones.

Peak list (8 most intense, 15° ≤ 2θ ≤ 90°, sorted by position)
2theta  I (rel.)
16.4  25.8
23.2  13.4
28.6  14.0
33.1  100.0
47.4  12.2
59.1  25.4
59.3  12.6
79.0  10.9

```
Pm4Mg2Tl
1.0
-3.833 3.833 3.811
3.833 -3.833 3.811
3.833 3.833 -3.811
Pm Mg Tl
4 2 1
Direct
0.000 0.000 0.500 Pm
0.000 0.500 0.000 Pm
0.500 0.000 0.000 Pm
0.500 0.500 0.500 Pm
0.000 0.500 0.500 Mg
0.500 0.000 0.500 Mg
0.000 0.000 0.000 Tl
```

[2]
Starting from a GGA-PBE-relaxed structure, the powder diffractogram of PmMg2Tl3 was calculated for a wavelength of 1.5418 Å.
Peak positions follow from Bragg's law for the DFT cell and can differ from measured ones.

Peak list (8 most intense, 15° ≤ 2θ ≤ 90°, sorted by position)
2theta  I (rel.)
25.7  38.1
32.5  100.0
33.0  87.8
35.0  32.5
35.8  37.3
42.7  25.0
56.9  19.9
61.9  22.7

```
PmMg2Tl3
1.0
8.999 -2.119 0.000
8.999 2.119 0.000
-5.616 0.000 8.580
Pm Mg Tl
2 4 6
Direct
0.083 0.083 0.442 Pm
0.917 0.917 0.558 Pm
0.253 0.253 0.876 Mg
0.404 0.404 0.288 Mg
0.596 0.596 0.712 Mg
0.747 0.747 0.124 Mg
0.096 0.096 0.939 Tl
0.249 0.249 0.362 Tl
0.420 0.420 0.812 Tl
0.580 0.580 0.188 Tl
0.751 0.751 0.638 Tl
0.904 0.904 0.061 Tl
```